(1)
Structure and calculated X-ray powder pattern of Sr2TaN3 (a PBE-relaxed structure; Cu Kα (λ = 1.5418 Å)).
Intensities are scaled so that the largest is 100.

Top 6 peaks for 10° ≤ 2θ ≤ 80°, low angle first:
two_theta  I_rel  index
15.62  57  0 2 0
29.43  100  2 0 0
30.98  88  1 3 -2
31.49  96  1 3 2
32.37  47  1 1 -4
33.34  46  1 1 4

Structural model:
Cell lengths 6.075, 11.350, 12.676 Å; angles 90.00, 92.10, 90.00 degrees
Space group C2/c (No. 15)
Inequivalent atoms, fractional coordinates:
Sr: 0.229 0.116 0.423 (multiplicity 8)
Sr: 0.247 0.201 0.861 (multiplicity 8)
Ta: 0.235 0.498 0.336 (multiplicity 8)
N: 0.000 0.002 0.750 (multiplicity 4)
N: 0.000 0.419 0.750 (multiplicity 4)
N: 0.169 0.337 0.376 (multiplicity 8)
N: 0.210 0.094 0.041 (multiplicity 8)

=====

(2)
Structure and calculated X-ray powder pattern of Sr3TaN3 (a PBE-relaxed structure; Cu Kα (λ = 1.5418 Å)).
Intensities are scaled so that the largest is 100.

Top 6 peaks for 10° ≤ 2θ ≤ 80°, low angle first:
two_theta  I_rel  index
12.85  21  1 0 0
20.62  22  1 0 1
25.86  32  2 0 0
30.59  100  2 0 1
32.45  34  0 0 2
38.21  19  1 2 1

Structural model:
Cell lengths 7.9561, 7.9561, 5.5188 Å; angles 90.00, 90.00, 120.00 degrees
Space group P6_3/m (No. 176)
Inequivalent atoms, fractional coordinates:
Sr: 0.1198 0.3565 0.2500 (multiplicity 6)
Ta: 0.3333 0.6667 0.7500 (multiplicity 2)
N: 0.1376 0.3911 0.7500 (multiplicity 6)